Structure and simulated powder diffractogram of Sr5As3O12F (the PBE geometry in the Materials Project; CuKα).

```
data_Sr5As3O12F
_chemical_formula_sum 'Sr10 As6 O24 F2'
_symmetry_space_group_name_H-M 'P 1'
_symmetry_Int_Tables_number 1
_cell_length_a 10.166
_cell_length_b 10.166
_cell_length_c 7.496
_cell_angle_alpha 90.00
_cell_angle_beta 90.00
_cell_angle_gamma 120.00
loop_
_symmetry_equiv_pos_as_xyz
'x,y,z'
loop_
_atom_site_label
_atom_site_fract_x
_atom_site_fract_y
_atom_site_fract_z
Sr1 0.007 0.248 0.250
Sr2 0.241 0.993 0.250
Sr3 0.248 0.241 0.750
Sr4 0.333 0.667 0.001
Sr5 0.333 0.667 0.499
Sr6 0.667 0.333 0.501
Sr7 0.667 0.333 0.999
Sr8 0.752 0.759 0.250
Sr9 0.759 0.007 0.750
Sr10 0.993 0.752 0.750
As1 0.030 0.399 0.750
As2 0.369 0.970 0.750
As3 0.399 0.369 0.250
As4 0.601 0.631 0.750
As5 0.631 0.030 0.250
As6 0.970 0.601 0.250
O1 0.091 0.342 0.566
O2 0.091 0.342 0.934
O3 0.125 0.595 0.750
O4 0.164 0.678 0.250
O5 0.252 0.909 0.566
O6 0.252 0.909 0.934
O7 0.322 0.486 0.250
O8 0.342 0.252 0.066
O9 0.342 0.252 0.434
O10 0.405 0.530 0.750
O11 0.470 0.875 0.750
O12 0.486 0.164 0.750
O13 0.514 0.836 0.250
O14 0.530 0.125 0.250
O15 0.595 0.470 0.250
O16 0.658 0.748 0.566
O17 0.658 0.748 0.934
O18 0.678 0.514 0.750
O19 0.748 0.091 0.066
O20 0.748 0.091 0.434
O21 0.836 0.322 0.750
O22 0.875 0.405 0.250
O23 0.909 0.658 0.066
O24 0.909 0.658 0.434
F1 0.000 0.000 0.250
F2 0.000 0.000 0.750
```

Principal peaks in the range 5° ≤ 2θ ≤ 70°, low angle first:
2θ 23.74, I = 27, hkl 0 0 2; 2θ 26.79, I = 21, hkl 2 1 0; 2θ 29.37, I = 100, hkl 2 1 1; 2θ 29.61, I = 61, hkl 1 1 2; 2θ 30.46, I = 51, hkl 3 0 0; 2θ 43.00, I = 29, hkl 2 2 2; 2θ 45.39, I = 35, hkl 2 1 3; 2θ 46.57, I = 17, hkl 2 3 1; 2θ 48.58, I = 16, hkl 0 0 4; 2θ 58.42, I = 16, hkl 3 0 4